The following is a theoretical powder diffraction line list of Na4W9O27. It was derived from a cell relaxed with GGA+U, using copper Kα.
Intensities are scaled so that the largest is 100.

Principal peaks in the range 10° ≤ 2θ ≤ 80°, in order of falling intensity:
- 2θ = 22.81°, intensity 100
- 2θ = 52.48°, intensity 42
- 2θ = 32.47°, intensity 36
- 2θ = 32.48°, intensity 36
- 2θ = 57.94°, intensity 29
- 2θ = 46.59°, intensity 24
- 2θ = 72.77°, intensity 20
- 2θ = 68.01°, intensity 15
- 2θ = 77.41°, intensity 13
- 2θ = 40.05°, intensity 10

Structure:
Lattice parameters (Å, degrees): 18.279 5.514 11.698 90.00 115.23 90.00
Space group C2/m (No. 12)
Symmetry-distinct sites (fractional):
Na: 0.000 0.000 0.167
Na: 0.167 0.500 0.611
W: 0.000 0.500 0.000
W: 0.001 0.500 0.667
W: 0.167 0.000 0.444
W: 0.168 0.000 0.111
W: 0.168 0.000 0.780
O: 0.000 0.500 0.167
O: 0.000 0.500 0.500
O: 0.082 0.245 0.054
O: 0.083 0.250 0.389
O: 0.083 0.250 0.722
O: 0.165 0.000 0.944
O: 0.167 0.000 0.278
O: 0.167 0.000 0.611
O: 0.249 0.252 0.831
O: 0.250 0.250 0.500